No. 1
For CaLa2Co2Sb2Pb2O12, a structure optimized by DFT (GGA+U) gives the calculated X-ray powder pattern in this record (Cu Kα, 1.54184 Å).
Peak positions follow from Bragg's law for the DFT cell and can differ from measured ones.

Most intense lines, 10° ≤ 2θ ≤ 90°, most intense first:
d [Å]  Position (°2θ)  I_rel  (hkl)
3.022  29.56  100  -1 1 2
3.111  28.69  78  1 1 -2
2.874  31.12  51  1 1 2
2.889  30.95  50  2 0 0
3.193  27.95  49  1 -1 2
2.920  30.61  41  0 2 0

```
data_CaLa2Co2Sb2Pb2O12
_symmetry_space_group_name_H-M 'P 1'
_symmetry_Int_Tables_number 1
_symmetry_space_group_name_Hall 'P 1'
_cell_length_a 5.7935
_cell_length_b 5.8823
_cell_length_c 9.1030
_cell_angle_alpha 95.46
_cell_angle_beta 90.81
_cell_angle_gamma 93.96
loop_
_atom_site_label
_atom_site_type_symbol
_atom_site_fract_x
_atom_site_fract_y
_atom_site_fract_z
Ca1 Ca 0.0000 0.0000 0.0000
La1 La 0.5954 0.9336 0.3063
La2 La 0.9916 0.4039 0.7526
Co1 Co 0.1224 0.6259 0.1288
Co2 Co 0.5453 0.3722 0.5442
Sb1 Sb 0.0564 0.8710 0.5434
Sb2 Sb 0.5652 0.3718 0.0513
Pb1 Pb 0.1285 0.3310 0.3370
Pb2 Pb 0.5048 0.8307 0.7796
O1 O 0.0040 0.8026 0.3211
O2 O 0.1034 0.9783 0.7597
O3 O 0.2448 0.6006 0.5772
O4 O 0.2903 0.4864 0.9422
O5 O 0.3544 0.1058 0.1132
O6 O 0.3620 0.0628 0.5115
O7 O 0.4564 0.5687 0.2247
O8 O 0.6938 0.1964 0.8751
O9 O 0.7744 0.6571 0.5920
O10 O 0.7984 0.2170 0.1705
O11 O 0.8027 0.6312 0.0014
O12 O 0.8607 0.1413 0.5278
```


No. 2
For CaMn4Co2O12, a structure optimized by DFT (GGA+U) gives the calculated X-ray powder pattern in this record (Cu Kα, 1.54184 Å).
Peak positions follow from Bragg's law for the DFT cell and can differ from measured ones.

Most intense lines, 10° ≤ 2θ ≤ 90°, most intense first:
d [Å]  Position (°2θ)  I_rel  (hkl)
5.319  16.67  100  0 0 2
2.383  37.75  11  1 2 -1
2.512  35.74  10  2 1 1
2.338  38.51  8  1 -1 2
1.468  63.34  8  0 3 1
2.275  39.61  8  -1 1 2

```
data_CaMn4Co2O12
_symmetry_space_group_name_H-M 'P 1'
_symmetry_Int_Tables_number 1
_symmetry_space_group_name_Hall 'P 1'
_cell_length_a 5.0393
_cell_length_b 5.0633
_cell_length_c 10.7792
_cell_angle_alpha 83.20
_cell_angle_beta 81.19
_cell_angle_gamma 60.91
loop_
_atom_site_label
_atom_site_type_symbol
_atom_site_fract_x
_atom_site_fract_y
_atom_site_fract_z
Ca1 Ca 0.0000 0.0000 0.0000
Mn1 Mn 0.2764 0.9350 0.2639
Mn2 Mn 0.4063 0.0833 0.7396
Mn3 Mn 0.7434 0.4119 0.7398
Mn4 Mn 0.9452 0.6051 0.2633
Co1 Co 0.0789 0.7444 0.7225
Co2 Co 0.6103 0.2687 0.2675
O1 O 0.0519 0.3782 0.8392
O2 O 0.0997 0.1145 0.6454
O3 O 0.2503 0.2637 0.3502
O4 O 0.2732 0.6488 0.1592
O5 O 0.3778 0.7400 0.8335
O6 O 0.4519 0.4089 0.6472
O7 O 0.5832 0.5964 0.3502
O8 O 0.6412 0.9515 0.1684
O9 O 0.7116 0.0785 0.8359
O10 O 0.7566 0.7606 0.6492
O11 O 0.9463 0.8971 0.3572
O12 O 0.9664 0.2771 0.1692
```


No. 3
For CaMn4Co2O12, a structure optimized by DFT (GGA+U) gives the calculated X-ray powder pattern in this record (Cu Kα, 1.54184 Å).
Peak positions follow from Bragg's law for the DFT cell and can differ from measured ones.

Most intense lines, 10° ≤ 2θ ≤ 90°, most intense first:
d [Å]  Position (°2θ)  I_rel  (hkl)
5.241  16.92  100  0 0 2
2.274  39.64  16  0 2 2
2.383  37.75  14  3 1 1
2.410  37.31  13  3 1 -2
1.925  47.20  12  3 1 3
1.959  46.34  12  3 1 -4

```
data_CaMn4Co2O12
_symmetry_space_group_name_H-M 'C 1 2 1'
_symmetry_Int_Tables_number 5
_symmetry_space_group_name_Hall 'C 2y'
_cell_length_a 8.8726
_cell_length_b 5.0471
_cell_length_c 10.6181
_cell_angle_alpha 90.00
_cell_angle_beta 99.17
_cell_angle_gamma 90.00
loop_
_atom_site_label
_atom_site_type_symbol
_atom_site_fract_x
_atom_site_fract_y
_atom_site_fract_z
Ca1 Ca 0.0000 0.0000 0.0000
Mn1 Mn 0.0445 0.3443 0.2658
Mn2 Mn 0.1194 0.8431 0.7341
Co1 Co 0.2161 0.8411 0.2786
O1 O 0.0207 0.6796 0.1667
O2 O 0.0536 0.0205 0.3602
O3 O 0.0947 0.5194 0.6412
O4 O 0.1282 0.1689 0.8349
O5 O 0.1909 0.1742 0.1690
O6 O 0.2298 0.5045 0.3566
```


No. 4
For Ca2Nb2CoO9, a structure optimized by DFT (GGA+U) gives the calculated X-ray powder pattern in this record (Cu Kα, 1.54184 Å).
Peak positions follow from Bragg's law for the DFT cell and can differ from measured ones.

Most intense lines, 10° ≤ 2θ ≤ 90°, most intense first:
d [Å]  Position (°2θ)  I_rel  (hkl)
3.856  23.06  100  1 1 1
1.928  47.13  55  4 0 -8
2.746  32.60  51  1 1 -5
2.708  33.08  46  3 1 -3
2.774  32.28  25  2 0 2
2.683  33.40  21  0 2 0

```
data_Ca2Nb2CoO9
_symmetry_space_group_name_H-M 'P 1 21/c 1'
_symmetry_Int_Tables_number 14
_symmetry_space_group_name_Hall '-P 2ybc'
_cell_length_a 9.4114
_cell_length_b 5.3650
_cell_length_c 16.5016
_cell_angle_alpha 90.00
_cell_angle_beta 124.24
_cell_angle_gamma 90.00
loop_
_atom_site_label
_atom_site_type_symbol
_atom_site_fract_x
_atom_site_fract_y
_atom_site_fract_z
Ca1 Ca 0.0561 0.0077 0.4062
Ca2 Ca 0.3803 0.0233 0.0649
Nb1 Nb 0.1753 0.5019 0.3332
Nb2 Nb 0.3392 0.5202 0.1658
Co1 Co 0.0000 0.0000 0.0000
Co2 Co 0.5000 0.0000 0.5000
O1 O 0.0332 0.7199 0.7486
O2 O 0.0956 0.5707 0.4270
O3 O 0.1468 0.2141 0.5531
O4 O 0.1741 0.7095 0.6012
O5 O 0.2381 0.0746 0.7428
O6 O 0.3018 0.2069 0.4253
O7 O 0.3791 0.7112 0.4249
O8 O 0.4221 0.5765 0.0812
O9 O 0.4855 0.2044 0.2199
```